(1)
Calculated powder X-ray diffraction pattern of Ba2PaOs3O12 for Cu Kα (λ = 1.5418 Å), from a cell relaxed with PBE.
Peak positions follow from Bragg's law for the DFT cell and can differ from measured ones.

Main lines, low angle first (5° ≤ 2θ ≤ 70°):
hkl	Position (°2θ)	intensity
1 0 1	14.85	46
0 1 5	28.23	31
1 1 3	28.55	100
0 2 1	28.71	35
0 0 6	29.35	35
2 0 2	29.97	56
3 0 3	45.63	31
2 2 0	50.08	36

Cell and atoms:
```
data_Ba2PaOs3O12
_chemical_formula_sum 'Ba6 Pa3 Os9 O36'
_space_group_name_H-M_alt 'R -3 m'
_space_group_IT_number 166
_space_group_name_Hall '-R 3 2"'
_cell_length_a 7.2862
_cell_length_b 7.2862
_cell_length_c 18.2608
_cell_angle_alpha 90.00
_cell_angle_beta 90.00
_cell_angle_gamma 120.00
loop_
_atom_site_label
_atom_site_type_symbol
_atom_site_fract_x
_atom_site_fract_y
_atom_site_fract_z
Ba1 Ba 0.0000 0.0000 0.1386
Pa1 Pa 0.0000 0.0000 0.5000
Os1 Os 0.0000 0.5000 0.0000
O1 O 0.0229 0.5115 0.1106
O2 O 0.0805 0.5402 0.3384
```

---

(2)
Calculated powder X-ray diffraction pattern of BaSrOsO6 for Cu Kα (λ = 1.5418 Å), from a cell relaxed with PBE.
Peak positions follow from Bragg's law for the DFT cell and can differ from measured ones.

Main lines, low angle first (5° ≤ 2θ ≤ 70°):
hkl	Position (°2θ)	intensity
0 0 1	16.37	15
1 0 0	17.41	16
1 0 1	23.98	100
1 1 0	30.39	44
2 0 1	39.08	25
2 -1 2	45.53	41
3 -1 1	50.29	26
3 0 0	53.99	13

Cell and atoms:
```
data_BaSrOsO6
_chemical_formula_sum 'Ba1 Sr1 Os1 O6'
_space_group_name_H-M_alt 'P 3 1 2'
_space_group_IT_number 149
_cell_length_a 5.8832
_cell_length_b 5.8832
_cell_length_c 5.4159
_cell_angle_alpha 90.00
_cell_angle_beta 90.00
_cell_angle_gamma 120.00
loop_
_space_group_symop_operation_xyz
'x,y,z'
'-y,x-y,z'
'-x+y,-x,z'
'-y,-x,-z'
'-x+y,y,-z'
'x,x-y,-z'
loop_
_atom_site_label
_atom_site_type_symbol
_atom_site_fract_x
_atom_site_fract_y
_atom_site_fract_z
Ba1 Ba 0.0000 0.0000 0.0000
Sr1 Sr 0.3333 0.6667 0.5000
Os1 Os 0.6667 0.3333 0.5000
O1 O 0.4052 0.0716 0.6992
```